1.
Diffraction record for CeMnSi2Pd. The powder diffraction line list is calculated, not measured: it uses a crystal structure in the Materials Project, relaxed with GGA-PBE and CuKα.

Structural model:
a b c (Å): 4.100 4.100 9.916
angles (deg): 90.00 90.00 90.00
Space group I-4m2 (No. 119)
Asymmetric unit:
Ce 0.000 0.000 0.000 [2 per cell]
Mn 0.000 0.500 0.250 [2 per cell]
Si 0.000 0.000 0.375 [4 per cell]
Pd 0.000 0.500 0.750 [2 per cell]

Most intense lines, 2θ = 10–80°, low angle first:
- d = 3.789 Å, 23.48°, intensity 39
- d = 2.573 Å, 34.87°, intensity 41
- d = 2.503 Å, 35.88°, intensity 100
- d = 2.479 Å, 36.24°, intensity 16
- d = 2.050 Å, 44.18°, intensity 39
- d = 1.785 Å, 51.16°, intensity 14
- d = 1.603 Å, 57.47°, intensity 19
- d = 1.580 Å, 58.41°, intensity 16
- d = 1.436 Å, 64.95°, intensity 17
- d = 1.254 Å, 75.84°, intensity 21

2.
Diffraction record for CeMn2Si2. The powder diffraction line list is calculated, not measured: it uses a crystal structure in the Materials Project, relaxed with GGA-PBE and CuKα.

Structural model:
a b c (Å): 3.942 3.942 10.405
angles (deg): 90.00 90.00 90.00
Space group I4/mmm (No. 139)
Asymmetric unit:
Ce 0.000 0.000 0.000 [2 per cell]
Mn 0.000 0.500 0.250 [4 per cell]
Si 0.000 0.000 0.378 [4 per cell]

Most intense lines, 2θ = 10–80°, low angle first:
- d = 3.687 Å, 24.14°, intensity 42
- d = 2.603 Å, 34.45°, intensity 75
- d = 2.457 Å, 36.57°, intensity 100
- d = 1.971 Å, 46.05°, intensity 38
- d = 1.840 Å, 49.53°, intensity 22
- d = 1.571 Å, 58.76°, intensity 38
- d = 1.472 Å, 63.14°, intensity 18
- d = 1.394 Å, 67.16°, intensity 12
- d = 1.345 Å, 69.93°, intensity 16
- d = 1.212 Å, 78.97°, intensity 19